The following is a simulated PXRD pattern of Cu2Ag2SnS4. It was derived from a structure optimized by DFT (PBE), using copper Kα.
No peak broadening, texture or thermal motion is included.

Structural model:
Cell lengths 6.663, 6.663, 9.527 Å; angles 127.82, 127.82, 33.25 degrees
Fractional coordinates of all 9 atoms:
Cu  0.174  0.174  0.394
Cu  0.826  0.826  0.606
Ag  0.351  0.351  0.234
Ag  0.649  0.649  0.766
Sn  0.500  0.500  0.000
S  0.055  0.055  0.853
S  0.244  0.244  0.680
S  0.756  0.756  0.320
S  0.945  0.945  0.147

Peak list (10 most intense, 10 to 90 degrees two-theta, by angle)
- 2θ = 27.6°, d 3.230, intensity 70
- 2θ = 28.0°, d 3.190, intensity 41
- 2θ = 28.6°, d 3.122, intensity 29
- 2θ = 30.4°, d 2.941, intensity 65
- 2θ = 32.3°, d 2.774, intensity 100
- 2θ = 37.0°, d 2.427, intensity 60
- 2θ = 39.0°, d 2.310, intensity 23
- 2θ = 46.1°, d 1.969, intensity 68
- 2θ = 47.7°, d 1.907, intensity 32
- 2θ = 50.5°, d 1.807, intensity 64